1.
Starting from the GGA-PBE geometry in Alexandria, the powder diffractogram of ThGe2Ir3 was computed for Cu Kα (weighted mean of Kα1 and Kα2).
Kinematic intensities with the Lorentz-polarization factor, no thermal factor.

Main lines, low angle first (2θ = 10–90°):
2.900 Å, 2θ = 30.84°, intensity 34
2.576 Å, 2θ = 34.83°, intensity 30
2.568 Å, 2θ = 34.93°, intensity 100
2.470 Å, 2θ = 36.38°, intensity 38
2.107 Å, 2θ = 42.92°, intensity 42
2.045 Å, 2θ = 44.29°, intensity 61

Cell and atoms:
```
18
Lattice="8.2968 -2.0443 0.0000 8.2968 2.0443 0.0000 -3.0075 0.0000 9.4948" Properties=species:S:1:pos:R:3 pbc="T T T"
Th 0.0000 0.0000 0.0000
Th 0.5492 0.0000 6.6642
Th 13.0368 0.0000 2.8306
Ge 2.8718 0.0000 1.1925
Ge 4.3684 0.0000 5.2017
Ge 7.0279 0.0000 2.1428
Ge 6.5581 0.0000 7.3520
Ge 9.2176 0.0000 4.2931
Ge 10.7142 0.0000 8.3022
Ir -0.2484 0.0000 3.1296
Ir 2.4771 0.0000 3.7089
Ir 5.2372 0.0000 0.4483
Ir 3.8560 0.0000 7.6181
Ir 6.7930 0.0000 4.7474
Ir 9.7300 0.0000 1.8767
Ir 8.3488 0.0000 9.0464
Ir 11.1089 0.0000 5.7859
Ir 13.8344 0.0000 6.3652
```

***

2.
Starting from the GGA-PBE geometry in Alexandria, the powder diffractogram of Pr2Ho2Th3 was computed for Cu Kα (weighted mean of Kα1 and Kα2).
Kinematic intensities with the Lorentz-polarization factor, no thermal factor.

Main lines, low angle first (2θ = 10–90°):
3.084 Å, 2θ = 28.95°, intensity 38
2.949 Å, 2θ = 30.31°, intensity 100
2.821 Å, 2θ = 31.71°, intensity 67
2.640 Å, 2θ = 33.96°, intensity 32
2.511 Å, 2θ = 35.76°, intensity 70
1.760 Å, 2θ = 51.94°, intensity 42

Cell and atoms:
```
7
Lattice="1.7774 -18.4773 0.0000 1.7774 18.4773 0.0000 0.0000 0.0000 3.5632" Properties=species:S:1:pos:R:3 pbc="T T T"
Pr 1.7774 10.8140 0.0000
Pr 1.7774 -10.8140 0.0000
Ho 1.7774 5.0221 1.7816
Ho 1.7774 -5.0221 1.7816
Th 1.7774 15.9567 0.0000
Th 1.7774 0.0000 1.7816
Th 1.7774 -15.9567 0.0000
```